# Sr3FeCoCl2O4
Computed powder X-ray diffraction pattern, λ = 1.5418 Å (Cu Kα). Input: a DFT-relaxed cell (PBE+U, the Materials Project).
Peak positions follow from Bragg's law for the DFT cell and can differ from measured ones.

Atomic structure:
Lattice parameters (Å, degrees): 11.628 11.628 11.628 159.74 159.74 28.80
Fractional positions:
Sr (0.000, 0.000, 0.000)
Sr (0.147, 0.147, 0.000)
Sr (0.301, 0.301, 0.000)
Fe (0.724, 0.724, 0.000)
Co (0.571, 0.571, 0.000)
Cl (0.452, 0.452, 0.000)
Cl (0.856, 0.856, 0.000)
O (0.073, 0.573, 0.500)
O (0.227, 0.727, 0.500)
O (0.573, 0.073, 0.500)
O (0.727, 0.227, 0.500)

Principal peaks in the range 10° ≤ 2θ ≤ 80°, sorted by position:
2θ = 15.74°, intensity 9; 2θ = 29.50°, intensity 11; 2θ = 30.92°, intensity 60; 2θ = 35.50°, intensity 100; 2θ = 39.33°, intensity 16; 2θ = 44.30°, intensity 38; 2θ = 58.00°, intensity 45; 2θ = 64.44°, intensity 11; 2θ = 73.18°, intensity 10; 2θ = 75.78°, intensity 10